Entry 1:
Computed powder diffractogram
Compound: LiNi5O5F
Radiation: CuKα
Structure: a cell relaxed with PBE+U
No peak broadening, texture or thermal motion is included.

The 12 most intense peaks (5 to 70 degrees two-theta), in order of rising 2θ:
| 2θ (°) | I_rel |
| --- | --- |
| 6.93 | 72 |
| 13.89 | 18 |
| 20.91 | 6 |
| 30.11 | 6 |
| 30.94 | 10 |
| 33.30 | 8 |
| 36.94 | 90 |
| 41.58 | 6 |
| 42.55 | 52 |
| 43.10 | 100 |
| 62.18 | 58 |
| 62.60 | 29 |

Atomic structure:
```
LiNi5O5F
1.0
2.9678 0.0000 0.0000
0.0000 2.9678 0.0000
0.0000 0.0000 12.7474
Li Ni O F
1 5 5 1
direct
0.0000 0.0000 0.0000
0.0000 0.0000 0.3330
0.0000 0.0000 0.6670
0.5000 0.5000 0.1698
0.5000 0.5000 0.5000
0.5000 0.5000 0.8302
0.0000 0.0000 0.1665
0.0000 0.0000 0.5000
0.0000 0.0000 0.8335
0.5000 0.5000 0.3336
0.5000 0.5000 0.6664
0.5000 0.5000 0.0000
```

Entry 2:
Computed powder diffractogram
Compound: Li3VS3O12
Radiation: CuKα
Structure: a cell relaxed with PBE+U
No peak broadening, texture or thermal motion is included.

The 12 most intense peaks (5 to 70 degrees two-theta), in order of rising 2θ:
| 2θ (°) | I_rel |
| --- | --- |
| 13.55 | 82 |
| 22.97 | 100 |
| 25.11 | 32 |
| 28.64 | 99 |
| 30.11 | 41 |
| 32.54 | 14 |
| 34.71 | 13 |
| 35.96 | 10 |
| 38.06 | 18 |
| 41.09 | 10 |
| 48.24 | 11 |
| 59.29 | 9 |

Atomic structure:
```
Li3VS3O12
1.0
6.5354 3.7732 3.0336
-6.5354 3.7732 3.0336
0.0000 -7.5464 3.0336
Li V S O
6 2 6 24
direct
0.0979 0.6521 0.2723
0.2723 0.0979 0.6521
0.3479 0.7277 0.9021
0.6521 0.2723 0.0979
0.7277 0.9021 0.3479
0.9021 0.3479 0.7277
0.0000 0.0000 0.0000
0.5000 0.5000 0.5000
0.0436 0.2645 0.4067
0.2645 0.4067 0.0436
0.4067 0.0436 0.2645
0.5933 0.9564 0.7355
0.7355 0.5933 0.9564
0.9564 0.7355 0.5933
0.0140 0.0799 0.2629
0.0382 0.7908 0.4677
0.0393 0.6304 0.6836
0.0799 0.2629 0.0140
0.2092 0.5323 0.9618
0.2538 0.3722 0.5210
0.2629 0.0140 0.0799
0.3164 0.9607 0.3696
0.3696 0.3164 0.9607
0.3722 0.5210 0.2538
0.4677 0.0382 0.7908
0.4790 0.7461 0.6278
0.5210 0.2538 0.3722
0.5323 0.9618 0.2092
0.6278 0.4790 0.7462
0.6304 0.6836 0.0393
0.6836 0.0393 0.6304
0.7371 0.9860 0.9201
0.7462 0.6278 0.4790
0.7908 0.4677 0.0382
0.9201 0.7371 0.9860
0.9607 0.3696 0.3164
0.9618 0.2092 0.5323
0.9860 0.9201 0.7371
```